1.
This entry pairs a crystal structure of PmSm3Cd3 with its calculated powder XRD pattern. Radiation: Cu Kα (weighted mean of Kα1 and Kα2). Structure: a crystal structure in Alexandria, relaxed with GGA-PBE.
Lines closer than 0.1° are merged.

Structural model:
a b c (Å): 7.6653 7.6653 7.1754
angles (deg): 90.00 90.00 90.19
Fractional positions:
Pm1 0.2397 0.2397 0.0000
Pm2 0.7603 0.7603 0.0000
Sm1 0.2407 0.2407 0.5000
Sm2 0.2416 0.7584 0.0000
Sm3 0.2427 0.7573 0.5000
Sm4 0.7573 0.2427 0.5000
Sm5 0.7584 0.2416 0.0000
Sm6 0.7593 0.7593 0.5000
Cd1 0.0000 0.5000 0.2507
Cd2 0.0000 0.5000 0.7493
Cd3 0.5000 0.0000 0.2507
Cd4 0.5000 0.0000 0.7493
Cd5 0.5000 0.5000 0.2494
Cd6 0.5000 0.5000 0.7506

Largest 10 diffraction maxima, in order of rising 2θ, 10° ≤ 2θ ≤ 90°:
| d (Å) | 2theta | intensity |
| --- | --- | --- |
| 3.833 | 23.2 | 93 |
| 2.715 | 33.0 | 275 |
| 2.706 | 33.1 | 271 |
| 2.619 | 34.2 | 1000 |
| 1.916 | 47.4 | 193 |
| 1.794 | 50.9 | 81 |
| 1.548 | 59.7 | 192 |
| 1.545 | 59.9 | 188 |
| 1.496 | 62.0 | 173 |
| 1.310 | 72.1 | 109 |


2.
This entry pairs a crystal structure of Pm4Sm3Cd4 with its calculated powder XRD pattern. Radiation: Cu Kα (weighted mean of Kα1 and Kα2). Structure: a crystal structure in Alexandria, relaxed with GGA-PBE.
Lines closer than 0.1° are merged.

Structural model:
a b c (Å): 9.9484 9.9484 9.9484
angles (deg): 148.59 138.72 52.78
Fractional positions:
Pm1 0.0561 0.8190 0.2370
Pm2 0.4180 0.1810 0.2370
Pm3 0.5820 0.8190 0.7630
Pm4 0.9439 0.1810 0.7630
Sm1 0.0000 0.5000 0.5000
Sm2 0.4012 0.4012 0.0000
Sm3 0.5988 0.5988 0.0000
Cd1 0.1718 0.6718 0.5000
Cd2 0.2911 0.0000 0.2911
Cd3 0.7089 0.0000 0.7089
Cd4 0.8282 0.3282 0.5000

Largest 10 diffraction maxima, in order of rising 2θ, 10° ≤ 2θ ≤ 90°:
| d (Å) | 2theta | intensity |
| --- | --- | --- |
| 3.178 | 28.1 | 235 |
| 3.084 | 29.0 | 174 |
| 2.972 | 30.1 | 531 |
| 2.900 | 30.8 | 1000 |
| 2.693 | 33.3 | 512 |
| 2.634 | 34.0 | 237 |
| 2.439 | 36.9 | 286 |
| 2.267 | 39.8 | 347 |
| 1.592 | 57.9 | 164 |
| 1.419 | 65.8 | 231 |


3.
This entry pairs a crystal structure of PmSm3Cd with its calculated powder XRD pattern. Radiation: Cu Kα (weighted mean of Kα1 and Kα2). Structure: a crystal structure in Alexandria, relaxed with GGA-PBE.
Lines closer than 0.1° are merged.

Structural model:
a b c (Å): 3.7533 6.8335 12.8906
angles (deg): 87.06 89.99 74.06
Fractional positions:
Pm1 0.2281 0.0432 0.2512
Pm2 0.7719 0.9568 0.7488
Sm1 0.0386 0.4226 0.6898
Sm2 0.1460 0.2080 0.9469
Sm3 0.3668 0.7678 0.5257
Sm4 0.6332 0.2322 0.4743
Sm5 0.8540 0.7920 0.0531
Sm6 0.9614 0.5774 0.3102
Cd1 0.4439 0.6121 0.8729
Cd2 0.5561 0.3879 0.1271

Largest 10 diffraction maxima, in order of rising 2θ, 10° ≤ 2θ ≤ 90°:
| d (Å) | 2theta | intensity |
| --- | --- | --- |
| 2.952 | 30.3 | 391 |
| 2.862 | 31.3 | 563 |
| 2.802 | 31.9 | 1000 |
| 2.742 | 32.7 | 928 |
| 2.676 | 33.5 | 143 |
| 1.877 | 48.5 | 178 |
| 1.653 | 55.6 | 181 |
| 1.616 | 57.0 | 162 |
| 1.584 | 58.3 | 148 |
| 1.569 | 58.8 | 205 |


4.
This entry pairs a crystal structure of PmSmCd4 with its calculated powder XRD pattern. Radiation: Cu Kα (weighted mean of Kα1 and Kα2). Structure: a crystal structure in Alexandria, relaxed with GGA-PBE.
Lines closer than 0.1° are merged.

Structural model:
a b c (Å): 9.3986 9.3986 5.0657
angles (deg): 90.00 90.00 136.95
Fractional positions:
Pm1 0.1247 0.8753 0.7500
Pm2 0.8753 0.1247 0.2500
Sm1 0.3746 0.6254 0.2500
Sm2 0.6254 0.3746 0.7500
Cd1 0.0424 0.4591 0.7500
Cd2 0.2099 0.2931 0.7500
Cd3 0.2931 0.2099 0.2500
Cd4 0.4591 0.0424 0.2500
Cd5 0.5409 0.9576 0.7500
Cd6 0.7069 0.7901 0.7500
Cd7 0.7901 0.7069 0.2500
Cd8 0.9576 0.5409 0.2500

Largest 10 diffraction maxima, in order of rising 2θ, 10° ≤ 2θ ≤ 90°:
| d (Å) | 2theta | intensity |
| --- | --- | --- |
| 2.709 | 33.1 | 1000 |
| 2.528 | 35.5 | 851 |
| 1.848 | 49.3 | 321 |
| 1.724 | 53.1 | 87 |
| 1.494 | 62.1 | 105 |
| 1.491 | 62.3 | 209 |
| 1.461 | 63.7 | 99 |
| 1.424 | 65.5 | 273 |
| 1.115 | 87.5 | 84 |
| 1.112 | 87.8 | 62 |


- What is the formula in the first record?
  PmSm3Cd3